(1)
For SmSi2Ru3, the PBE geometry in the Materials Project gives the simulated powder diffraction line list in this record (Cu Kα, 1.54184 Å).
No peak broadening, texture or thermal motion is included.

Atomic structure:
```
SmSi2Ru3
1.0
5.619 0.000 0.000
-2.810 4.866 0.000
0.000 0.000 3.618
Sm Si Ru
1 2 3
Cartesian
0.000 0.000 0.000 Sm
0.000 3.244 0.000 Si
2.810 1.622 0.000 Si
-1.405 2.433 1.809 Ru
2.810 0.000 1.809 Ru
1.405 2.433 1.809 Ru
```

Main lines, in order of falling intensity (2θ from 10° to 90°):
2θ/deg, d_spacing, I/Imax
36.94, 2.433, 100
30.80, 2.903, 88
40.66, 2.219, 79
64.15, 1.452, 39
56.09, 1.640, 32
66.57, 1.405, 25
88.03, 1.109, 24
62.78, 1.480, 22
44.89, 2.019, 22
50.45, 1.809, 19


(2)
For PrAsS, the PBE geometry in the Materials Project gives the simulated powder diffraction line list in this record (Cu Kα, 1.54184 Å).
No peak broadening, texture or thermal motion is included.

Atomic structure:
```
PrAsS
1.0
17.747 0.000 0.000
0.000 3.943 0.000
0.000 0.000 3.995
Pr As S
4 4 4
Cartesian
2.584 0.986 0.876 Pr
6.290 2.958 2.873 Pr
11.457 0.986 1.122 Pr
15.163 2.958 3.120 Pr
0.039 0.986 2.820 As
8.835 2.958 0.822 As
8.912 0.986 3.173 As
17.708 2.958 1.175 As
3.309 2.958 2.875 S
5.564 0.986 0.877 S
12.183 2.958 3.118 S
14.437 0.986 1.121 S
```

Main lines, in order of falling intensity (2θ from 10° to 90°):
2θ/deg, d_spacing, I/Imax
37.92, 2.373, 100
33.49, 2.676, 53
24.71, 3.604, 43
30.22, 2.958, 40
24.43, 3.643, 39
46.03, 1.972, 19
61.86, 1.500, 18
45.40, 1.998, 16
31.89, 2.807, 16
56.05, 1.641, 15


(3)
For TlIn2GaSe4, the PBE geometry in the Materials Project gives the simulated powder diffraction line list in this record (Cu Kα, 1.54184 Å).
No peak broadening, texture or thermal motion is included.

Atomic structure:
```
TlIn2GaSe4
1.0
-3.352 4.106 4.118
3.352 -4.106 4.118
3.352 4.106 -4.118
Tl In Ga Se
1 2 1 4
Cartesian
0.000 0.000 0.000 Tl
3.352 0.000 0.000 In
0.000 4.106 0.000 In
0.000 0.000 4.118 Ga
1.547 -1.369 2.753 Se
1.806 2.737 1.365 Se
1.806 5.474 -1.365 Se
1.547 1.369 5.482 Se
```

Main lines, in order of falling intensity (2θ from 10° to 90°):
2θ/deg, d_spacing, I/Imax
34.52, 2.599, 100
30.76, 2.907, 57
27.67, 3.224, 46
21.61, 4.112, 38
49.58, 1.839, 24
41.10, 2.196, 23
54.73, 1.677, 18
52.14, 1.754, 13
76.98, 1.239, 13
52.25, 1.751, 13